Diffraction record for Dy2YTm5In. The X-ray diffraction stick pattern is computed, not measured: it uses the PBE geometry in Alexandria and Cu Kα (weighted mean of Kα1 and Kα2).
Intensities are scaled so that the largest is 100.

Top 10 peaks for 2θ from 15° to 90°, in order of falling intensity:
Position (°2θ)  I_rel  h k l
33.0  100  1 5 2
33.9  31  2 0 0
31.1  26  1 1 3
60.0  18  3 5 2
34.5  16  0 0 4
27.5  15  1 3 2
49.1  12  2 0 4
28.2  11  0 6 1
63.4  9  2 6 5
60.3  9  1 11 3

Cell and atoms:
Unit cell a=5.293 b=19.901 c=10.411 alpha=90.00 beta=90.00 gamma=90.00
Space group Cmcm (No. 63)
Symmetry-distinct sites (fractional):
Dy  0.000  0.116  0.041 x8
Y  0.000  0.208  0.750 x4
Tm  0.000  0.011  0.750 x4
Tm  0.000  0.290  0.049 x8
Tm  0.000  0.384  0.750 x4
Tm  0.000  0.500  0.000 x4
In  0.000  0.405  0.250 x4